The following is a computed powder diffraction line list of Li6HoIn6. It was derived from a structure optimized by DFT (PBE), using Cu Ka.
Neutral-atom scattering factors, no anomalous dispersion.

Most intense lines, 2θ from 10° to 90°, low angle first:
| Position (°2θ) | Rel. int. | h k l |
| --- | --- | --- |
| 18.4 | 72.8 | 0 0 2 |
| 31.2 | 58.9 | 2 0 0 |
| 32.3 | 100.0 | 1 3 0 |
| 36.5 | 31.1 | 2 0 2 |
| 37.3 | 59.0 | 0 0 4 |
| 37.4 | 51.4 | 1 3 2 |

Cell and atoms:
```
data_Li6HoIn6
_chemical_formula_sum 'Li12 Ho2 In12'
_cell_length_a 5.737
_cell_length_b 9.510
_cell_length_c 9.633
_cell_angle_alpha 90.00
_cell_angle_beta 90.00
_cell_angle_gamma 90.00
_space_group_name_H-M_alt 'I m m m'
_space_group_IT_number 71
_space_group_name_Hall '-I 2 2'
loop_
_atom_site_label
_atom_site_type_symbol
_atom_site_fract_x
_atom_site_fract_y
_atom_site_fract_z
Li1 Li 0.000 0.000 0.231
Li2 Li 0.250 0.250 0.250
Ho1 Ho 0.000 0.500 0.500
In1 In 0.000 0.157 0.500
In2 In 0.000 0.192 0.000
In3 In 0.000 0.500 0.160
```



The following is a computed powder diffraction line list of Ba16H3Pt5. It was derived from a structure optimized by DFT (PBE), using Cu Ka.
Neutral-atom scattering factors, no anomalous dispersion.

Most intense lines, 2θ from 10° to 90°, low angle first:
| Position (°2θ) | Rel. int. | h k l |
| --- | --- | --- |
| 12.8 | 40.5 | 1 1 1 |
| 25.8 | 100.0 | 2 2 2 |
| 25.9 | 30.5 | 4 0 -2 |
| 29.2 | 60.9 | 2 2 3 |
| 38.2 | 42.3 | 2 2 -5 |
| 40.2 | 54.8 | 6 2 0 |

Cell and atoms:
```
data_Ba16H3Pt5
_chemical_formula_sum 'Ba32 H6 Pt10'
_cell_length_a 15.485
_cell_length_b 9.048
_cell_length_c 14.798
_cell_angle_alpha 90.00
_cell_angle_beta 90.29
_cell_angle_gamma 90.00
_space_group_name_H-M_alt 'C 1 m 1'
_space_group_IT_number 8
_space_group_name_Hall 'C -2y'
loop_
_atom_site_label
_atom_site_type_symbol
_atom_site_fract_x
_atom_site_fract_y
_atom_site_fract_z
Ba1 Ba 0.000 0.000 0.000
Ba2 Ba 0.002 0.000 0.496
Ba3 Ba 0.016 0.500 0.479
Ba4 Ba 0.088 0.249 0.229
Ba5 Ba 0.172 0.000 0.731
Ba6 Ba 0.175 0.500 0.721
Ba7 Ba 0.254 0.265 0.482
Ba8 Ba 0.262 0.235 0.982
Ba9 Ba 0.339 0.500 0.224
Ba10 Ba 0.342 0.000 0.215
Ba11 Ba 0.423 0.251 0.728
Ba12 Ba 0.499 0.000 0.986
H1 H 0.337 0.500 0.602
H2 H 0.421 0.246 0.104
Pt1 Pt 0.090 0.250 0.607
Pt2 Pt 0.171 0.000 0.108
Pt3 Pt 0.179 0.500 0.346
Pt4 Pt 0.347 0.000 0.853
```



The following is a computed powder diffraction line list of Cu3Pt2. It was derived from a structure optimized by DFT (PBE), using Cu Ka.
Neutral-atom scattering factors, no anomalous dispersion.

Most intense lines, 2θ from 10° to 90°, low angle first:
| Position (°2θ) | Rel. int. | h k l |
| --- | --- | --- |
| 35.9 | 29.5 | 1 0 3 |
| 41.5 | 100.0 | 1 0 5 |
| 46.6 | 38.2 | 1 1 0 |
| 68.0 | 12.1 | 2 0 0 |
| 72.0 | 15.3 | 1 1 10 |
| 82.9 | 26.1 | 2 1 5 |

Cell and atoms:
```
data_Cu3Pt2
_chemical_formula_sum 'Cu6 Pt4'
_cell_length_a 2.757
_cell_length_b 2.757
_cell_length_c 17.744
_cell_angle_alpha 90.00
_cell_angle_beta 90.00
_cell_angle_gamma 90.00
_space_group_name_H-M_alt 'I 4/m m m'
_space_group_IT_number 139
_space_group_name_Hall '-I 4 2'
loop_
_atom_site_label
_atom_site_type_symbol
_atom_site_fract_x
_atom_site_fract_y
_atom_site_fract_z
Cu1 Cu 0.000 0.000 0.000
Cu2 Cu 0.000 0.000 0.410
Pt1 Pt 0.000 0.000 0.192
```



The following is a computed powder diffraction line list of MgAs. It was derived from a structure optimized by DFT (PBE), using Cu Ka.
Neutral-atom scattering factors, no anomalous dispersion.

Most intense lines, 2θ from 10° to 90°, low angle first:
| Position (°2θ) | Rel. int. | h k l |
| --- | --- | --- |
| 25.4 | 85.2 | 1 0 0 |
| 39.0 | 100.0 | 1 0 1 |
| 44.7 | 41.4 | 1 1 0 |
| 60.8 | 26.4 | 2 0 1 |
| 78.2 | 15.3 | 1 1 2 |
| 78.5 | 24.8 | 2 1 1 |

Cell and atoms:
```
data_MgAs
_chemical_formula_sum 'Mg1 As1'
_cell_length_a 4.0548
_cell_length_b 4.0548
_cell_length_c 3.0646
_cell_angle_alpha 90.00
_cell_angle_beta 90.00
_cell_angle_gamma 120.00
_space_group_name_H-M_alt 'P -6 m 2'
_space_group_IT_number 187
_space_group_name_Hall 'P -6 2'
loop_
_atom_site_label
_atom_site_type_symbol
_atom_site_fract_x
_atom_site_fract_y
_atom_site_fract_z
Mg1 Mg 0.0000 0.0000 0.0000
As1 As 0.3333 0.6667 0.5000
```